Tb5Dy2Ho12: theoretical XRD peak list (CuKα), based on a structure optimized by DFT (GGA-PBE).
Kinematic intensities with the Lorentz-polarization factor, no thermal factor.

Top 12 peaks for 2θ = 5–70°, sorted by position:
hkl 1 -2 1, 3.246 Å, intensity 20
hkl 0 3 2, 3.107 Å, intensity 22
hkl 2 0 0, 2.964 Å, intensity 16
hkl 2 1 1, 2.869 Å, intensity 47
hkl 1 0 -3, 2.841 Å, intensity 100
hkl 0 3 3, 2.796 Å, intensity 66
hkl 1 -2 2, 2.746 Å, intensity 44
hkl 2 1 2, 2.737 Å, intensity 23
hkl 1 3 0, 2.662 Å, intensity 62
hkl 1 1 4, 2.643 Å, intensity 40
hkl -2 2 1, 2.481 Å, intensity 31
hkl 2 4 4, 1.782 Å, intensity 18

Structure:
Unit cell a=5.9778 b=9.6213 c=11.1804 alpha=70.18 beta=82.55 gamma=88.76
Space group P-1 (No. 2)
Inequivalent atoms, fractional coordinates:
Tb  0.0000  0.0000  0.0000
Tb  0.1020  0.9615  0.3443
Tb  0.4956  0.5473  0.8315
Dy  0.2829  0.5670  0.4197
Ho  0.0390  0.6867  0.6561
Ho  0.0782  0.3139  0.0443
Ho  0.1643  0.3169  0.7277
Ho  0.3844  0.9059  0.7871
Ho  0.4244  0.8191  0.1047
Ho  0.4286  0.1810  0.4867

---

CaY2ErSb4: theoretical XRD peak list (CuKα), based on a structure optimized by DFT (GGA-PBE).
Kinematic intensities with the Lorentz-polarization factor, no thermal factor.

Top 12 peaks for 2θ = 5–70°, sorted by position:
hkl 0 0 1, 7.248 Å, intensity 6
hkl 1 0 -1, 6.242 Å, intensity 3
hkl 1 1 1, 3.121 Å, intensity 100
hkl 2 0 2, 2.223 Å, intensity 13
hkl 3 1 -1, 2.207 Å, intensity 50
hkl 0 2 0, 2.190 Å, intensity 12
hkl 4 0 0, 1.811 Å, intensity 13
hkl 2 2 -2, 1.793 Å, intensity 13
hkl 4 0 -4, 1.560 Å, intensity 12
hkl 3 1 3, 1.404 Å, intensity 6
hkl 4 2 0, 1.396 Å, intensity 22
hkl 1 3 1, 1.387 Å, intensity 6

Structure:
Unit cell a=7.6590 b=4.3797 c=7.6692 alpha=90.00 beta=109.07 gamma=90.00
Space group P2/m (No. 10)
Inequivalent atoms, fractional coordinates:
Ca  0.0000  0.0000  0.0000
Y  0.5000  0.0000  0.5000
Y  0.5000  0.5000  0.0000
Er  0.0000  0.5000  0.5000
Sb  0.2503  0.0000  0.7457
Sb  0.2548  0.5000  0.2568

---

La2Tb3Ho3: theoretical XRD peak list (CuKα), based on a structure optimized by DFT (GGA-PBE).
Kinematic intensities with the Lorentz-polarization factor, no thermal factor.

Top 10 peaks for 2θ = 5–70°, sorted by position:
hkl 0 0 2, 10.090 Å, intensity 1
hkl 1 1 4, 2.936 Å, intensity 100
hkl 2 0 0, 2.552 Å, intensity 34
hkl 0 0 8, 2.522 Å, intensity 16
hkl 1 1 6, 2.461 Å, intensity 1
hkl 2 2 0, 1.805 Å, intensity 12
hkl 2 0 8, 1.794 Å, intensity 24
hkl 3 1 4, 1.537 Å, intensity 29
hkl 1 1 12, 1.524 Å, intensity 14
hkl 2 2 8, 1.468 Å, intensity 12

Structure:
Unit cell a=5.1031 b=5.1065 c=20.1793 alpha=90.00 beta=90.00 gamma=90.00
Space group Immm (No. 71)
Inequivalent atoms, fractional coordinates:
La  0.0000  0.0000  0.2503
Tb  0.0000  0.0000  0.0000
Tb  0.0000  0.5000  0.1216
Ho  0.0000  0.0000  0.5000
Ho  0.0000  0.5000  0.3784

---

Er4GaSb2: theoretical XRD peak list (CuKα), based on a structure optimized by DFT (GGA-PBE).
Kinematic intensities with the Lorentz-polarization factor, no thermal factor.

Top 12 peaks for 2θ = 5–70°, sorted by position:
hkl 2 2 0, 3.321 Å, intensity 93
hkl 1 0 3, 2.967 Å, intensity 100
hkl 3 2 1, 2.509 Å, intensity 75
hkl 4 0 0, 2.348 Å, intensity 37
hkl 3 0 3, 2.212 Å, intensity 22
hkl 3 3 2, 2.002 Å, intensity 49
hkl 3 1 4, 1.841 Å, intensity 43
hkl 5 1 2, 1.714 Å, intensity 14
hkl 5 0 3, 1.610 Å, intensity 17
hkl 2 0 6, 1.483 Å, intensity 16
hkl 5 4 1, 1.449 Å, intensity 10
hkl 6 3 1, 1.385 Å, intensity 13

Structure:
Unit cell a=9.3931 b=9.3931 c=9.3773 alpha=90.00 beta=90.00 gamma=90.00
Space group I4_1/amd (No. 141, origin choice 2)
Inequivalent atoms, fractional coordinates:
Er  0.0000  0.0537  0.1852
Ga  0.0000  0.2500  0.8750
Sb  0.0000  0.0000  0.5000

---

Th5TcBi3: theoretical XRD peak list (CuKα), based on a structure optimized by DFT (GGA-PBE).
Kinematic intensities with the Lorentz-polarization factor, no thermal factor.

Top 12 peaks for 2θ = 5–70°, sorted by position:
hkl 0 0 2, 3.290 Å, intensity 12
hkl 2 1 0, 3.183 Å, intensity 20
hkl 2 1 1, 2.865 Å, intensity 100
hkl 3 0 0, 2.807 Å, intensity 48
hkl 1 1 2, 2.725 Å, intensity 83
hkl 3 1 1, 2.201 Å, intensity 12
hkl 2 2 2, 1.955 Å, intensity 22
hkl 4 1 0, 1.838 Å, intensity 13
hkl 2 1 3, 1.806 Å, intensity 27
hkl 0 0 4, 1.645 Å, intensity 10
hkl 5 0 2, 1.499 Å, intensity 17
hkl 3 0 4, 1.419 Å, intensity 12

Structure:
Unit cell a=9.7237 b=9.7237 c=6.5809 alpha=90.00 beta=90.00 gamma=120.00
Space group P6_3/mcm (No. 193)
Inequivalent atoms, fractional coordinates:
Th  0.0000  0.2400  0.2500
Th  0.3333  0.6667  0.0000
Tc  0.0000  0.0000  0.0000
Bi  0.0000  0.3967  0.7500

---

LiRhBr4: theoretical XRD peak list (CuKα), based on a structure optimized by DFT (GGA-PBE).
Kinematic intensities with the Lorentz-polarization factor, no thermal factor.

Top 12 peaks for 2θ = 5–70°, sorted by position:
hkl 0 0 1, 6.664 Å, intensity 58
hkl 1 0 0, 6.329 Å, intensity 71
hkl 1 0 1, 4.568 Å, intensity 22
hkl 2 0 0, 3.165 Å, intensity 19
hkl 1 0 -2, 2.960 Å, intensity 51
hkl 1 1 -1, 2.912 Å, intensity 29
hkl 1 1 1, 2.901 Å, intensity 100
hkl 2 0 -2, 2.305 Å, intensity 24
hkl 2 1 1, 2.270 Å, intensity 48
hkl 0 1 3, 1.912 Å, intensity 37
hkl 0 2 0, 1.878 Å, intensity 20
hkl 3 1 -1, 1.776 Å, intensity 49

Structure:
Unit cell a=6.3294 b=3.7562 c=6.6644 alpha=90.00 beta=90.54 gamma=90.00
Space group P2/m (No. 10)
Inequivalent atoms, fractional coordinates:
Li  0.0000  0.0000  0.0000
Rh  0.0000  0.5000  0.5000
Br  0.2205  0.0000  0.6436
Br  0.2269  0.5000  0.1898